This entry pairs a crystal structure of La6Sn3Bi with its theoretical X-ray diffraction stick pattern. Radiation: Cu Kα (λ = 1.5418 Å). Structure: the GGA-PBE geometry in Alexandria.

Most intense lines, 2θ = 10–90°, by angle:
index  2θ/deg  I_rel
3 1 1  27.97  42
1 3 2  28.54  63
2 2 2  29.49  82
2 4 1  30.10  100
0 4 2  31.13  38
4 0 0  33.74  35

Atomic structure:
Lattice parameters (Å, degrees): 10.616 15.870 8.329 90.00 90.00 90.00
Space group Cmc2_1 (No. 36)
Unique sites:
La 0.000 0.020 0.000 x4
La 0.000 0.288 0.093 x4
La 0.198 0.292 0.499 x8
La 0.215 0.457 0.135 x8
Sn 0.000 0.442 0.407 x4
Sn 0.145 0.125 0.289 x8
Bi 0.000 0.173 0.743 x4

This entry pairs a crystal structure of K3Cd4Pd4 with its theoretical X-ray diffraction stick pattern. Radiation: Cu Kα (λ = 1.5418 Å). Structure: the GGA-PBE geometry in Alexandria.

Most intense lines, 2θ = 10–90°, by angle:
index  2θ/deg  I_rel
1 1 0  14.89  100
2 2 0  30.04  55
3 1 0  33.69  59
3 2 1  40.11  83
4 1 1  45.76  67
6 1 1  68.79  31

Atomic structure:
Lattice parameters (Å, degrees): 8.412 8.412 8.412 90.00 90.00 90.00
Space group I-43m (No. 217)
Unique sites:
K 0.000 0.000 0.500 x6
Cd 0.198 0.198 0.198 x8
Pd 0.118 0.118 0.882 x8

This entry pairs a crystal structure of Sr3Li2H4O2 with its theoretical X-ray diffraction stick pattern. Radiation: Cu Kα (λ = 1.5418 Å). Structure: the GGA-PBE geometry in Alexandria.

Most intense lines, 2θ = 10–90°, by angle:
index  2θ/deg  I_rel
1 0 1  23.91  72
0 0 6  25.54  38
1 0 5  31.89  100
1 1 0  33.51  76
1 1 6  42.60  42
2 1 5  58.90  36

Atomic structure:
Lattice parameters (Å, degrees): 3.782 3.782 20.928 90.00 90.00 90.00
Space group I4/mmm (No. 139)
Unique sites:
Sr 0.000 0.000 0.000 x2
Sr 0.000 0.000 0.188 x4
Li 0.000 0.000 0.394 x4
H 0.000 0.500 0.075 x8
O 0.000 0.000 0.305 x4